1.
Simulated X-ray diffraction stick pattern
Compound: Y4AlSi2O10F5
Radiation: Cu Ka
Structure: a structure optimized by DFT (GGA-PBE)

Largest 8 diffraction maxima, by angle, 10° ≤ 2θ ≤ 90°:
2theta  d [Å]  I/Imax
20.55  4.323  34
23.74  3.747  100
25.23  3.531  91
26.98  3.305  42
31.63  2.829  56
31.92  2.804  65
35.99  2.495  56
53.32  1.718  31

Structure:
```
Y4AlSi2O10F5
1.0
4.501 -7.495 0.000
4.501 7.495 0.000
-1.218 0.000 4.152
Y Al Si O F
4 1 2 10 5
Direct
0.131 0.869 0.000
0.228 0.513 0.704
0.513 0.228 0.704
0.869 0.131 0.000
0.670 0.670 0.828
0.526 0.838 0.343
0.838 0.526 0.343
0.029 0.608 0.604
0.336 0.773 0.089
0.465 0.465 0.883
0.488 0.679 0.536
0.608 0.029 0.604
0.678 0.858 0.137
0.679 0.488 0.536
0.773 0.336 0.089
0.858 0.678 0.137
0.861 0.861 0.721
0.105 0.105 0.165
0.137 0.417 0.152
0.235 0.970 0.566
0.417 0.137 0.152
0.970 0.235 0.566
```

=====

2.
Simulated X-ray diffraction stick pattern
Compound: Ta6Al8O27F
Radiation: Cu Ka
Structure: a structure optimized by DFT (GGA-PBE)

Largest 8 diffraction maxima, by angle, 10° ≤ 2θ ≤ 90°:
2theta  d [Å]  I/Imax
19.31  4.597  54
23.78  3.742  66
23.93  3.719  59
30.93  2.891  100
33.99  2.638  51
36.92  2.435  48
42.00  2.151  66
54.93  1.671  59

Structure:
```
Ta6Al8O27F
1.0
7.438 0.000 0.000
-3.718 7.914 0.000
-3.718 -2.573 7.484
Ta Al O F
6 8 27 1
Direct
0.000 0.000 0.000
0.074 0.749 0.249
0.410 0.910 0.084
0.497 0.497 0.498
0.578 0.247 0.750
0.914 0.414 0.587
0.001 0.089 0.409
0.047 0.865 0.633
0.189 0.461 0.052
0.415 0.807 0.697
0.511 0.600 0.911
0.559 0.369 0.142
0.687 0.954 0.542
0.915 0.305 0.198
0.008 0.222 0.051
0.051 0.973 0.250
0.068 0.793 0.018
0.094 0.534 0.191
0.151 0.778 0.493
0.166 0.319 0.401
0.243 0.571 0.702
0.245 0.108 0.623
0.310 0.890 0.830
0.350 0.126 0.100
0.388 0.677 0.043
0.422 0.898 0.321
0.447 0.464 0.256
0.506 0.718 0.552
0.551 0.473 0.751
0.570 0.294 0.520
0.596 0.033 0.688
0.649 0.279 0.994
0.668 0.824 0.902
0.735 0.600 0.119
0.738 0.071 0.199
0.816 0.393 0.333
0.824 0.881 0.440
0.846 0.622 0.599
0.887 0.182 0.547
0.931 0.402 0.826
0.954 0.967 0.763
0.315 0.372 0.930
```

=====

3.
Simulated X-ray diffraction stick pattern
Compound: AlTcO2F
Radiation: Cu Ka
Structure: a structure optimized by DFT (GGA-PBE)

Largest 8 diffraction maxima, by angle, 10° ≤ 2θ ≤ 90°:
2theta  d [Å]  I/Imax
23.41  3.800  30
33.35  2.687  58
33.70  2.659  100
41.44  2.179  75
47.88  1.900  48
48.93  1.861  23
59.83  1.546  39
70.87  1.330  27

Structure:
```
AlTcO2F
1.0
3.800 0.000 0.000
0.000 3.800 0.000
0.000 0.000 3.723
Al Tc O F
1 1 2 1
Direct
0.000 0.000 0.000
0.500 0.500 0.500
0.000 0.500 0.000
0.500 0.000 0.000
0.000 0.000 0.500
```

=====

4.
Simulated X-ray diffraction stick pattern
Compound: AlTl2OF5
Radiation: Cu Ka
Structure: a structure optimized by DFT (GGA-PBE)

Largest 8 diffraction maxima, by angle, 10° ≤ 2θ ≤ 90°:
2theta  d [Å]  I/Imax
18.09  4.905  49
23.04  3.861  100
24.22  3.674  34
29.71  3.007  62
32.12  2.786  57
41.11  2.196  26
41.91  2.155  24
47.87  1.900  24

Structure:
```
AlTl2OF5
1.0
4.788 -4.537 0.000
4.788 4.537 0.000
0.000 0.000 7.348
Al Tl O F
2 4 2 10
Direct
0.000 0.000 0.000
0.000 0.000 0.500
0.169 0.470 0.750
0.470 0.169 0.250
0.530 0.831 0.750
0.831 0.530 0.250
0.498 0.502 0.250
0.502 0.498 0.750
0.042 0.958 0.250
0.192 0.192 0.000
0.192 0.192 0.500
0.195 0.805 0.546
0.195 0.805 0.954
0.805 0.195 0.046
0.805 0.195 0.454
0.808 0.808 0.000
0.808 0.808 0.500
0.958 0.042 0.750
```

=====

Copy entry 4 word for word.
Simulated X-ray diffraction stick pattern
Compound: AlTl2OF5
Radiation: Cu Ka
Structure: a structure optimized by DFT (GGA-PBE)

Largest 8 diffraction maxima, by angle, 10° ≤ 2θ ≤ 90°:
2theta  d [Å]  I/Imax
18.09  4.905  49
23.04  3.861  100
24.22  3.674  34
29.71  3.007  62
32.12  2.786  57
41.11  2.196  26
41.91  2.155  24
47.87  1.900  24

Structure:
```
AlTl2OF5
1.0
4.788 -4.537 0.000
4.788 4.537 0.000
0.000 0.000 7.348
Al Tl O F
2 4 2 10
Direct
0.000 0.000 0.000
0.000 0.000 0.500
0.169 0.470 0.750
0.470 0.169 0.250
0.530 0.831 0.750
0.831 0.530 0.250
0.498 0.502 0.250
0.502 0.498 0.750
0.042 0.958 0.250
0.192 0.192 0.000
0.192 0.192 0.500
0.195 0.805 0.546
0.195 0.805 0.954
0.805 0.195 0.046
0.805 0.195 0.454
0.808 0.808 0.000
0.808 0.808 0.500
0.958 0.042 0.750
```